(1)
# Ba2MgCo2O6
Simulated PXRD pattern, Cu Kα X-rays. Input: a PBE+U-relaxed structure.
Neutral-atom scattering factors, no anomalous dispersion.

Structure:
```
Ba2MgCo2O6
1.0
5.598 0.000 0.000
1.960 5.400 0.000
0.497 2.619 5.181
Ba Mg Co O
2 1 2 6
Cartesian
0.000 0.000 0.000 Ba
3.251 4.575 3.898 Ba
5.955 6.023 2.917 Mg
1.581 2.332 2.068 Co
4.866 3.887 0.996 Co
2.188 6.513 2.375 O
3.035 3.282 1.161 O
2.632 1.908 3.625 O
4.854 5.729 1.119 O
6.407 5.525 4.998 O
6.062 3.903 2.629 O
```

Main lines, in order of rising 2θ (10 to 90 degrees two-theta):
two_theta, d_spacing, I/Imax
25.13, 3.544, 19.9
29.12, 3.066, 53.9
30.95, 2.889, 100.0
31.73, 2.820, 50.6
32.86, 2.726, 19.7
34.48, 2.601, 30.8
37.15, 2.420, 44.8
40.06, 2.251, 36.4
45.81, 1.981, 24.5
56.03, 1.641, 20.2

---

(2)
# BaMgCoO3
Simulated PXRD pattern, Cu Kα X-rays. Input: a PBE+U-relaxed structure.
Neutral-atom scattering factors, no anomalous dispersion.

Structure:
```
BaMgCoO3
1.0
3.948 0.000 0.000
0.000 3.948 0.000
0.000 0.000 6.521
Ba Mg Co O
1 1 1 3
Cartesian
0.000 0.000 0.000 Ba
0.000 0.000 3.261 Mg
1.974 1.974 3.261 Co
0.000 1.974 3.261 O
1.974 0.000 3.261 O
1.974 1.974 0.000 O
```

Main lines, in order of rising 2θ (10 to 90 degrees two-theta):
two_theta, d_spacing, I/Imax
22.52, 3.948, 19.1
26.39, 3.377, 100.0
27.35, 3.261, 75.5
32.06, 2.791, 54.9
34.96, 2.566, 18.4
42.64, 2.120, 49.7
45.98, 1.974, 33.6
47.77, 1.904, 20.0
53.79, 1.704, 28.1
54.33, 1.689, 39.5

---

(3)
# Ba2MgCo2O6
Simulated PXRD pattern, Cu Kα X-rays. Input: a PBE+U-relaxed structure.
Neutral-atom scattering factors, no anomalous dispersion.

Structure:
```
Ba2MgCo2O6
1.0
2.916 -5.051 0.000
2.916 5.051 0.000
-0.015 0.000 5.521
Ba Mg Co O
2 1 2 6
Cartesian
0.000 0.000 0.000 Ba
2.909 -1.681 2.761 Ba
2.909 -5.048 2.761 Mg
2.913 1.685 1.294 Co
2.905 1.685 4.227 Co
1.589 2.443 5.517 O
1.577 0.917 2.755 O
2.909 3.223 2.761 O
2.916 0.170 0.000 O
4.229 2.443 0.004 O
4.241 0.917 2.766 O
```

Main lines, in order of rising 2θ (10 to 90 degrees two-theta):
two_theta, d_spacing, I/Imax
23.88, 3.727, 85.6
30.66, 2.916, 100.0
37.11, 2.422, 46.8
39.23, 2.297, 57.4
48.85, 1.864, 23.1
50.59, 1.804, 19.6
54.50, 1.684, 19.0
58.76, 1.572, 15.0
58.86, 1.569, 14.9
63.84, 1.458, 18.5

---

(4)
# BaMg6CoO8
Simulated PXRD pattern, Cu Kα X-rays. Input: a PBE+U-relaxed structure.
Neutral-atom scattering factors, no anomalous dispersion.

Structure:
```
BaMg6CoO8
1.0
4.684 0.000 0.000
0.000 4.684 0.000
0.000 0.000 8.752
Ba Mg Co O
1 6 1 8
Cartesian
0.000 0.000 0.000 Ba
0.000 2.342 2.337 Mg
0.000 2.342 6.416 Mg
2.342 0.000 2.337 Mg
2.342 0.000 6.416 Mg
2.342 2.342 0.000 Mg
2.342 2.342 4.376 Mg
0.000 0.000 4.376 Co
0.000 0.000 2.475 O
0.000 0.000 6.278 O
0.000 2.342 0.000 O
0.000 2.342 4.376 O
2.342 0.000 0.000 O
2.342 0.000 4.376 O
2.342 2.342 2.206 O
2.342 2.342 6.547 O
```

Main lines, in order of rising 2θ (10 to 90 degrees two-theta):
two_theta, d_spacing, I/Imax
18.95, 4.684, 53.1
20.29, 4.376, 24.4
26.92, 3.312, 22.9
27.90, 3.198, 43.6
33.95, 2.641, 56.8
38.44, 2.342, 100.0
41.26, 2.188, 39.3
55.49, 1.656, 30.7
57.66, 1.599, 49.9
71.44, 1.320, 25.4

---

(5)
# Ba2MgCo2O6
Simulated PXRD pattern, Cu Kα X-rays. Input: a PBE+U-relaxed structure.
Neutral-atom scattering factors, no anomalous dispersion.

Structure:
```
Ba2MgCo2O6
1.0
5.541 0.000 0.000
0.312 5.801 0.000
0.162 2.892 5.079
Ba Mg Co O
2 1 2 6
Cartesian
0.000 0.000 0.000 Ba
3.082 5.804 3.373 Ba
5.852 5.788 3.395 Mg
1.622 2.833 1.706 Co
4.237 2.973 1.708 Co
0.156 2.895 0.150 O
0.237 4.212 2.458 O
2.799 1.581 0.971 O
2.935 2.918 3.262 O
3.059 4.234 0.973 O
5.625 1.566 2.459 O
```

Main lines, in order of rising 2θ (10 to 90 degrees two-theta):
two_theta, d_spacing, I/Imax
23.32, 3.814, 43.1
23.78, 3.741, 44.2
24.45, 3.641, 40.7
30.57, 2.924, 100.0
30.83, 2.900, 48.6
36.31, 2.474, 26.3
37.00, 2.429, 23.1
38.58, 2.334, 29.9
39.03, 2.308, 28.9
40.02, 2.253, 27.3

---

(6)
# Ba4MgCoRe2O12
Simulated PXRD pattern, Cu Kα X-rays. Input: a PBE+U-relaxed structure.
Neutral-atom scattering factors, no anomalous dispersion.

Structure:
```
Ba4MgCoRe2O12
1.0
5.068 -2.927 0.000
5.068 2.927 0.000
-3.387 0.000 9.689
Ba Mg Co Re O
4 1 1 2 12
Cartesian
-0.003 0.000 3.766 Ba
-0.006 0.000 8.326 Ba
6.754 0.000 1.363 Ba
6.752 0.000 5.923 Ba
3.374 0.000 4.845 Mg
0.000 0.000 0.000 Co
3.377 0.000 2.209 Re
3.372 0.000 7.480 Re
2.602 1.337 3.469 O
1.757 0.000 1.202 O
4.186 1.402 1.207 O
2.562 1.402 8.482 O
1.829 0.000 6.217 O
4.146 1.337 6.220 O
2.602 -1.337 3.469 O
4.920 0.000 3.472 O
4.186 -1.402 1.207 O
2.562 -1.402 8.482 O
4.991 0.000 8.487 O
4.146 -1.337 6.220 O
```

Main lines, in order of rising 2θ (10 to 90 degrees two-theta):
two_theta, d_spacing, I/Imax
17.76, 4.994, 14.8
21.37, 4.157, 16.3
27.77, 3.212, 78.9
30.55, 2.927, 100.0
35.60, 2.522, 16.5
41.75, 2.163, 41.0
47.60, 1.910, 14.0
52.61, 1.740, 25.7
54.29, 1.690, 19.9
63.58, 1.463, 20.6

---

(7)
# Ba6MgCo2Sb4O18
Simulated PXRD pattern, Cu Kα X-rays. Input: a PBE+U-relaxed structure.
Neutral-atom scattering factors, no anomalous dispersion.

Structure:
```
Ba6MgCo2Sb4O18
1.0
5.937 0.000 0.000
2.944 5.156 0.000
0.047 2.695 15.425
Ba Mg Co Sb O
6 1 2 4 18
Cartesian
0.000 0.000 0.000 Ba
2.857 4.554 3.744 Ba
2.901 4.515 10.579 Ba
5.814 6.248 8.091 Ba
5.943 6.206 13.126 Ba
5.840 2.789 5.649 Ba
2.943 1.588 1.689 Mg
2.857 4.531 7.002 Co
2.966 4.503 14.333 Co
2.881 1.061 4.599 Sb
5.909 3.283 1.536 Sb
5.849 2.795 9.242 Sb
5.944 2.785 12.108 Sb
1.474 2.404 0.269 O
1.400 3.576 8.245 O
2.880 6.259 13.158 O
1.630 1.946 3.279 O
1.555 3.475 13.145 O
1.238 1.976 10.667 O
4.313 5.550 5.812 O
2.992 2.754 5.736 O
4.231 2.699 0.427 O
4.395 3.718 8.312 O
6.012 5.070 0.501 O
5.621 4.511 3.530 O
4.307 1.635 3.278 O
4.619 3.697 13.281 O
4.533 2.103 10.772 O
5.957 4.324 10.740 O
7.214 5.336 5.797 O
8.678 6.238 8.308 O
```

Main lines, in order of rising 2θ (10 to 90 degrees two-theta):
two_theta, d_spacing, I/Imax
27.72, 3.219, 21.6
30.01, 2.978, 43.9
30.12, 2.967, 100.0
30.27, 2.953, 12.0
31.45, 2.845, 13.6
32.55, 2.751, 28.9
40.54, 2.225, 12.0
43.94, 2.061, 22.5
53.36, 1.717, 21.5
62.61, 1.484, 16.7

---

(8)
# Ba6MgCo2Sb4O18
Simulated PXRD pattern, Cu Kα X-rays. Input: a PBE+U-relaxed structure.
Neutral-atom scattering factors, no anomalous dispersion.

Structure:
```
Ba6MgCo2Sb4O18
1.0
6.015 0.000 0.000
-3.004 5.263 0.000
-0.002 -1.503 15.356
Ba Mg Co Sb O
6 1 2 4 18
Cartesian
0.000 0.000 0.000 Ba
0.006 -0.073 4.626 Ba
0.003 3.469 2.314 Ba
0.001 3.406 9.398 Ba
3.004 1.696 7.049 Ba
3.009 1.655 11.657 Ba
-0.003 1.866 14.056 Mg
0.006 3.470 5.808 Co
3.006 -1.132 12.924 Co
-0.002 -0.055 8.104 Sb
0.001 -0.208 11.009 Sb
3.006 1.831 0.608 Sb
3.010 1.698 3.588 Sb
-1.486 2.542 4.646 O
-1.580 3.976 11.850 O
-0.002 1.705 7.207 O
-1.533 4.435 7.052 O
0.005 1.380 12.137 O
1.327 0.638 9.615 O
1.645 0.973 1.901 O
3.003 -1.356 14.833 O
1.572 1.261 14.978 O
3.003 -0.115 4.547 O
1.491 2.543 4.650 O
1.531 4.440 7.054 O
1.597 3.977 11.865 O
3.008 3.341 2.035 O
4.375 0.979 1.893 O
4.687 0.638 9.619 O
3.008 3.602 9.429 O
4.420 1.272 14.961 O
```

Main lines, in order of rising 2θ (10 to 90 degrees two-theta):
two_theta, d_spacing, I/Imax
23.12, 3.846, 20.5
28.19, 3.166, 38.4
29.57, 3.021, 92.9
29.69, 3.009, 100.0
30.17, 2.962, 20.5
33.13, 2.704, 28.7
37.96, 2.370, 21.6
42.85, 2.110, 24.0
52.65, 1.738, 28.8
61.17, 1.515, 19.4